(1)
Simulated PXRD pattern
Compound: Dy3Tl3In
Radiation: CuKα
Structure: a GGA-PBE-relaxed structure
Peak positions follow from Bragg's law for the DFT cell and can differ from measured ones.

Structure:
```
14
Lattice="9.081 0.000 0.000 -4.541 7.864 0.000 0.000 0.000 5.399" Properties=species:S:1:pos:R:3 pbc="T T T"
Dy -2.022 5.089 1.350
Dy 1.144 3.568 1.350
Dy 3.662 0.793 4.049
Dy 0.878 7.071 1.350
Dy 3.396 4.296 4.049
Dy 6.563 2.775 4.049
Tl -3.189 6.340 4.049
Tl 0.644 1.933 4.049
Tl 1.996 0.408 1.350
Tl 2.545 7.456 4.049
Tl 3.896 5.932 1.350
Tl 7.729 1.524 1.350
In 0.000 5.243 4.049
In 4.541 2.621 1.350
```

Largest 12 diffraction maxima, low angle first, 2θ from 10° to 90°:
d (Å)  intensity
7.864  4
2.972  25
2.699  26
2.604  100
1.998  16
1.716  17
1.539  20
1.448  20
1.433  14
1.302  4
1.146  7
1.100  10


(2)
Simulated PXRD pattern
Compound: Dy5Tl3In
Radiation: CuKα
Structure: a GGA-PBE-relaxed structure
Peak positions follow from Bragg's law for the DFT cell and can differ from measured ones.

Structure:
```
18
Lattice="9.320 0.000 0.000 -4.660 8.071 0.000 0.000 0.000 6.667" Properties=species:S:1:pos:R:3 pbc="T T T"
Dy -1.341 2.322 1.667
Dy -3.319 5.749 5.000
Dy 2.681 0.000 1.667
Dy 1.341 2.322 5.000
Dy 0.000 5.381 0.000
Dy 0.000 5.381 3.334
Dy 4.660 2.690 0.000
Dy 4.660 2.690 3.334
Dy 6.638 0.000 5.000
Dy 3.319 5.749 1.667
Tl -1.741 3.016 5.000
Tl -2.918 5.055 1.667
Tl 3.483 0.000 5.000
Tl 1.741 3.016 1.667
Tl 5.837 0.000 1.667
Tl 2.918 5.055 5.000
In 0.000 0.000 0.000
In 0.000 0.000 3.334
```

Largest 12 diffraction maxima, low angle first, 2θ from 10° to 90°:
d (Å)  intensity
3.334  13
2.774  38
2.711  100
2.690  93
2.122  16
2.094  10
1.910  29
1.796  11
1.667  10
1.557  23
1.487  14
1.417  37


(3)
Simulated PXRD pattern
Compound: Dy7Tl5In
Radiation: CuKα
Structure: a GGA-PBE-relaxed structure
Peak positions follow from Bragg's law for the DFT cell and can differ from measured ones.

Structure:
```
13
Lattice="-3.318 5.352 5.344 3.318 -5.352 5.344 3.318 5.352 -5.344" Properties=species:S:1:pos:R:3 pbc="T T T"
Dy 0.000 0.000 0.000
Dy 3.318 1.910 1.279
Dy 0.000 0.000 3.758
Dy 0.000 3.468 1.093
Dy 0.000 7.236 1.093
Dy 0.000 5.352 3.740
Dy 0.000 3.442 6.623
Tl 1.624 2.527 -1.468
Tl 5.013 2.527 -1.468
Tl 3.318 0.000 3.839
Tl -1.694 2.826 3.876
Tl 1.694 2.826 3.876
In 0.000 0.000 7.034
```

Largest 12 diffraction maxima, low angle first, 2θ from 10° to 90°:
d (Å)  intensity
5.346  30
3.142  27
2.820  71
2.709  54
2.673  65
2.494  100
2.392  42
1.774  18
1.571  26
1.506  30
1.410  18
1.354  18


(4)
Simulated PXRD pattern
Compound: Dy7Tl2In
Radiation: CuKα
Structure: a GGA-PBE-relaxed structure
Peak positions follow from Bragg's law for the DFT cell and can differ from measured ones.

Structure:
```
10
Lattice="5.302 0.000 0.000 -2.651 4.592 0.000 0.000 0.000 12.682" Properties=species:S:1:pos:R:3 pbc="T T T"
Dy 0.000 0.000 0.000
Dy 0.000 0.000 3.295
Dy 0.000 0.000 9.345
Dy 0.000 3.061 5.203
Dy 0.000 3.061 11.116
Dy 2.651 1.531 1.576
Dy 2.651 1.531 7.393
Tl 0.000 0.000 6.320
Tl 2.651 1.531 10.779
In 0.000 3.061 1.837
```

Largest 12 diffraction maxima, low angle first, 2θ from 10° to 90°:
d (Å)  intensity
4.318  12
3.719  13
3.110  13
2.651  100
2.609  89
2.246  10
1.860  33
1.531  19
1.522  35
1.496  10
1.326  12
1.182  15


(5)
Simulated PXRD pattern
Compound: Dy5Tl2In2
Radiation: CuKα
Structure: a GGA-PBE-relaxed structure
Peak positions follow from Bragg's law for the DFT cell and can differ from measured ones.

Structure:
```
18
Lattice="8.031 -4.113 0.000 8.031 4.113 0.000 0.000 0.000 7.899" Properties=species:S:1:pos:R:3 pbc="T T T"
Dy 0.000 0.000 0.000
Dy 5.817 2.604 5.301
Dy 5.817 1.508 1.351
Dy 10.245 2.604 5.301
Dy 10.245 1.508 1.351
Dy 8.031 0.000 3.950
Dy 5.817 -1.508 6.548
Dy 5.817 -2.604 2.598
Dy 10.245 -1.508 6.548
Dy 10.245 -2.604 2.598
Tl 3.405 0.000 0.000
Tl 4.627 0.000 3.950
Tl 11.436 0.000 3.950
Tl 12.658 0.000 0.000
In 8.031 3.079 2.956
In 8.031 1.034 6.905
In 8.031 -1.034 0.994
In 8.031 -3.079 4.944
```

Largest 12 diffraction maxima, low angle first, 2θ from 10° to 90°:
d (Å)  intensity
2.965  100
2.873  84
2.849  82
2.816  66
2.798  53
2.700  72
2.680  34
2.557  61
2.478  52
2.016  29
1.782  37
1.463  32


(6)
Simulated PXRD pattern
Compound: Dy5TmTlIn2
Radiation: CuKα
Structure: a GGA-PBE-relaxed structure
Peak positions follow from Bragg's law for the DFT cell and can differ from measured ones.

Structure:
```
18
Lattice="-4.247 4.247 7.224 4.247 -4.247 7.224 4.247 4.247 -7.224" Properties=species:S:1:pos:R:3 pbc="T T T"
Dy 0.000 0.000 0.000
Dy 6.022 1.775 -1.933
Dy 1.775 2.472 -1.933
Dy 6.022 1.775 1.933
Dy 1.775 2.472 1.933
Dy 0.000 0.000 7.224
Dy 2.472 1.775 5.291
Dy -1.775 2.472 5.291
Dy 2.472 1.775 9.157
Dy -1.775 2.472 9.157
Tm 4.247 0.000 3.612
Tm 0.000 4.247 3.612
Tl 0.000 0.000 3.612
Tl 0.000 0.000 10.836
In 3.302 0.945 0.000
In 3.302 -0.945 7.224
In 0.945 5.191 0.000
In 0.945 3.302 7.224
```

Largest 12 diffraction maxima, low angle first, 2θ from 10° to 90°:
d (Å)  intensity
3.003  53
2.983  32
2.751  100
2.686  12
2.325  12
2.300  9
2.039  19
1.894  8
1.806  11
1.681  22
1.548  14
1.458  10


(7)
Simulated PXRD pattern
Compound: Dy5YTl2In
Radiation: CuKα
Structure: a GGA-PBE-relaxed structure
Peak positions follow from Bragg's law for the DFT cell and can differ from measured ones.

Structure:
```
18
Lattice="-3.802 3.802 9.387 3.802 -3.802 9.387 3.802 3.802 -9.387" Properties=species:S:1:pos:R:3 pbc="T T T"
Dy 0.000 0.000 0.000
Dy 5.391 1.589 -2.473
Dy 1.589 2.213 -2.473
Dy 5.391 1.589 2.473
Dy 1.589 2.213 2.473
Dy 0.000 0.000 9.387
Dy 2.213 1.589 6.915
Dy -1.589 2.213 6.915
Dy 2.213 1.589 11.860
Dy -1.589 2.213 11.860
Y 3.802 0.000 4.694
Y 0.000 3.802 4.694
Tl 2.826 0.975 0.000
Tl 2.826 -0.975 9.387
Tl 0.975 4.777 0.000
Tl 0.975 2.826 9.387
In 0.000 0.000 4.694
In 0.000 0.000 14.081
```

Largest 12 diffraction maxima, low angle first, 2θ from 10° to 90°:
d (Å)  intensity
2.988  71
2.954  100
2.688  35
2.521  33
2.405  18
2.347  31
2.329  15
2.096  16
1.768  30
1.679  12
1.657  14
1.599  18


(8)
Simulated PXRD pattern
Compound: Dy4TmIn2
Radiation: CuKα
Structure: a GGA-PBE-relaxed structure
Peak positions follow from Bragg's law for the DFT cell and can differ from measured ones.

Structure:
```
14
Lattice="6.286 0.000 0.000 0.000 11.715 0.000 -3.447 0.000 5.628" Properties=species:S:1:pos:R:3 pbc="T T T"
Dy -0.962 2.481 2.260
Dy -2.686 3.376 5.074
Dy 2.386 7.258 0.434
Dy 0.662 10.314 3.248
Dy 2.176 1.401 2.380
Dy 0.452 4.456 5.194
Dy 5.524 8.339 0.554
Dy 3.800 9.233 3.368
Tm 0.000 0.000 0.000
Tm -1.724 5.857 2.814
In 0.009 1.349 5.040
In 1.733 4.508 2.226
In 1.105 7.206 3.402
In 2.829 10.365 0.588
```

Largest 12 diffraction maxima, low angle first, 2θ from 10° to 90°:
d (Å)  intensity
3.207  48
3.034  20
2.814  19
2.767  20
2.733  100
2.680  38
2.612  18
2.570  77
2.520  47
1.834  12
1.698  12
1.525  13